(1)
For SrZn2Pb, a GGA-PBE-relaxed structure gives the computed powder diffraction line list in this record (a wavelength of 1.5418 Å).
Peak positions follow from Bragg's law for the DFT cell and can differ from measured ones.

Largest 8 diffraction maxima, low angle first, 5° ≤ 2θ ≤ 70°:
(1 0 0), 3.853 Å, 23.09°, intensity 43; (1 0 1), 3.210 Å, 27.79°, intensity 61; (1 1 -1), 2.685 Å, 33.38°, intensity 100; (0 1 2), 2.497 Å, 35.96°, intensity 78; (0 2 0), 2.448 Å, 36.71°, intensity 38; (1 1 2), 2.096 Å, 43.17°, intensity 33; (1 2 1), 1.947 Å, 46.66°, intensity 31; (2 1 2), 1.525 Å, 60.72°, intensity 34

```
data_SrZn2Pb
_space_group_name_H-M_alt 'P 1 2/m 1'
_space_group_IT_number 10
_cell_length_a 3.8525
_cell_length_b 4.8962
_cell_length_c 5.8072
_cell_angle_alpha 90.00
_cell_angle_beta 90.08
_cell_angle_gamma 90.00
loop_
_space_group_symop_operation_xyz
'x,y,z'
'-x,-y,-z'
'-x,y,-z'
'x,-y,z'
loop_
_atom_site_label
_atom_site_fract_x
_atom_site_fract_y
_atom_site_fract_z
Sr1 0.0000 0.0000 0.0000
Zn1 0.4971 0.5000 0.7715
Pb1 0.5000 0.0000 0.5000
```

(2)
For SnBi2HO6, a GGA-PBE-relaxed structure gives the computed powder diffraction line list in this record (a wavelength of 1.5418 Å).
Peak positions follow from Bragg's law for the DFT cell and can differ from measured ones.

Largest 8 diffraction maxima, low angle first, 5° ≤ 2θ ≤ 70°:
(1 0 1), 4.235 Å, 20.98°, intensity 66; (1 1 0), 3.704 Å, 24.03°, intensity 42; (0 2 0), 3.018 Å, 29.60°, intensity 42; (1 1 2), 2.961 Å, 30.19°, intensity 100; (0 1 3), 2.885 Å, 30.99°, intensity 60; (1 2 1), 2.458 Å, 36.56°, intensity 33; (2 2 0), 1.851 Å, 49.22°, intensity 34; (2 1 3), 1.819 Å, 50.15°, intensity 67

```
data_SnBi2HO6
_space_group_name_H-M_alt 'P n n m'
_space_group_IT_number 58
_cell_length_a 4.6903
_cell_length_b 6.0361
_cell_length_c 9.8555
_cell_angle_alpha 90.00
_cell_angle_beta 90.00
_cell_angle_gamma 90.00
loop_
_space_group_symop_operation_xyz
'x,y,z'
'-x,-y,-z'
'-x,-y,z'
'x,y,-z'
'x+1/2,-y+1/2,-z+1/2'
'-x+1/2,y+1/2,z+1/2'
'-x+1/2,y+1/2,-z+1/2'
'x+1/2,-y+1/2,z+1/2'
loop_
_atom_site_label
_atom_site_fract_x
_atom_site_fract_y
_atom_site_fract_z
Sn1 0.0000 0.0000 0.0000
Bi1 0.0000 0.5000 0.1829
H1 0.0000 0.0000 0.5000
O1 0.2093 0.1621 0.1522
O2 0.2253 0.1195 0.5000
```

Repeat the second record exactly.
For SnBi2HO6, a GGA-PBE-relaxed structure gives the computed powder diffraction line list in this record (a wavelength of 1.5418 Å).
Peak positions follow from Bragg's law for the DFT cell and can differ from measured ones.

Largest 8 diffraction maxima, low angle first, 5° ≤ 2θ ≤ 70°:
(1 0 1), 4.235 Å, 20.98°, intensity 66; (1 1 0), 3.704 Å, 24.03°, intensity 42; (0 2 0), 3.018 Å, 29.60°, intensity 42; (1 1 2), 2.961 Å, 30.19°, intensity 100; (0 1 3), 2.885 Å, 30.99°, intensity 60; (1 2 1), 2.458 Å, 36.56°, intensity 33; (2 2 0), 1.851 Å, 49.22°, intensity 34; (2 1 3), 1.819 Å, 50.15°, intensity 67

```
data_SnBi2HO6
_space_group_name_H-M_alt 'P n n m'
_space_group_IT_number 58
_cell_length_a 4.6903
_cell_length_b 6.0361
_cell_length_c 9.8555
_cell_angle_alpha 90.00
_cell_angle_beta 90.00
_cell_angle_gamma 90.00
loop_
_space_group_symop_operation_xyz
'x,y,z'
'-x,-y,-z'
'-x,-y,z'
'x,y,-z'
'x+1/2,-y+1/2,-z+1/2'
'-x+1/2,y+1/2,z+1/2'
'-x+1/2,y+1/2,-z+1/2'
'x+1/2,-y+1/2,z+1/2'
loop_
_atom_site_label
_atom_site_fract_x
_atom_site_fract_y
_atom_site_fract_z
Sn1 0.0000 0.0000 0.0000
Bi1 0.0000 0.5000 0.1829
H1 0.0000 0.0000 0.5000
O1 0.2093 0.1621 0.1522
O2 0.2253 0.1195 0.5000
```